Entry 1:
Diffraction record for Tl9Hg2Pb3. The powder diffraction line list is theoretical, not measured: it uses a crystal structure in Alexandria, relaxed with GGA-PBE and Cu Kα, 1.54184 Å.

Crystal structure
```
data_Tl9Hg2Pb3
_space_group_name_H-M_alt 'P 1'
_space_group_IT_number 1
_cell_length_a 18.9561
_cell_length_b 18.9561
_cell_length_c 18.9561
_cell_angle_alpha 164.09
_cell_angle_beta 164.09
_cell_angle_gamma 22.57
loop_
_space_group_symop_operation_xyz
'x,y,z'
loop_
_atom_site_label
_atom_site_type_symbol
_atom_site_fract_x
_atom_site_fract_y
_atom_site_fract_z
Tl1 Tl 0.0000 0.0000 0.0000
Tl2 Tl 0.0949 0.0949 0.0000
Tl3 Tl 0.1981 0.1981 0.0000
Tl4 Tl 0.3027 0.3027 0.0000
Tl5 Tl 0.4079 0.4079 0.0000
Tl6 Tl 0.5921 0.5921 0.0000
Tl7 Tl 0.6973 0.6973 0.0000
Tl8 Tl 0.8019 0.8019 0.0000
Tl9 Tl 0.9051 0.9051 0.0000
Hg1 Hg 0.0420 0.5420 0.5000
Hg2 Hg 0.4580 0.9580 0.5000
Pb1 Pb 0.2500 0.7500 0.5000
Pb2 Pb 0.6446 0.1446 0.5000
Pb3 Pb 0.8554 0.3554 0.5000
```

Most intense lines, 15° ≤ 2θ ≤ 90°, by angle:
2θ 20.72, rel. 32
2θ 23.99, rel. 7
2θ 30.84, rel. 6
2θ 34.16, rel. 100
2θ 40.29, rel. 16
2θ 49.12, rel. 13
2θ 53.82, rel. 6
2θ 61.15, rel. 33
2θ 71.95, rel. 10
2θ 82.15, rel. 12


Entry 2:
Diffraction record for TmHgPb3. The powder diffraction line list is theoretical, not measured: it uses a crystal structure in Alexandria, relaxed with GGA-PBE and Cu Kα, 1.54184 Å.

Crystal structure
```
data_TmHgPb3
_space_group_name_H-M_alt 'P 1'
_space_group_IT_number 1
_cell_length_a 3.6435
_cell_length_b 9.4352
_cell_length_c 9.1074
_cell_angle_alpha 90.00
_cell_angle_beta 95.82
_cell_angle_gamma 90.00
loop_
_space_group_symop_operation_xyz
'x,y,z'
loop_
_atom_site_label
_atom_site_type_symbol
_atom_site_fract_x
_atom_site_fract_y
_atom_site_fract_z
Tm1 Tm 0.0006 0.2500 0.0068
Tm2 Tm 0.9994 0.7500 0.9932
Hg1 Hg 0.1903 0.2500 0.3541
Hg2 Hg 0.8097 0.7500 0.6459
Pb1 Pb 0.2855 0.7500 0.3591
Pb2 Pb 0.3957 0.5040 0.8215
Pb3 Pb 0.3957 0.9960 0.8215
Pb4 Pb 0.6043 0.0040 0.1785
Pb5 Pb 0.6043 0.4960 0.1785
Pb6 Pb 0.7145 0.2500 0.6409
```

Most intense lines, 15° ≤ 2θ ≤ 90°, by angle:
2θ 21.23, rel. 27
2θ 27.29, rel. 25
2θ 31.12, rel. 43
2θ 31.90, rel. 100
2θ 33.18, rel. 58
2θ 35.29, rel. 99
2θ 36.75, rel. 27
2θ 38.15, rel. 45
2θ 50.34, rel. 21
2θ 51.44, rel. 34


Entry 3:
Diffraction record for Tm3Hg2Pb3. The powder diffraction line list is theoretical, not measured: it uses a crystal structure in Alexandria, relaxed with GGA-PBE and Cu Kα, 1.54184 Å.

Crystal structure
```
data_Tm3Hg2Pb3
_space_group_name_H-M_alt 'P 1'
_space_group_IT_number 1
_cell_length_a 8.9301
_cell_length_b 8.9301
_cell_length_c 6.3411
_cell_angle_alpha 90.00
_cell_angle_beta 90.00
_cell_angle_gamma 120.00
loop_
_space_group_symop_operation_xyz
'x,y,z'
loop_
_atom_site_label
_atom_site_type_symbol
_atom_site_fract_x
_atom_site_fract_y
_atom_site_fract_z
Tm1 Tm 0.0000 0.4044 0.2500
Tm2 Tm 0.0000 0.5956 0.7500
Tm3 Tm 0.4044 0.0000 0.2500
Tm4 Tm 0.4044 0.4044 0.7500
Tm5 Tm 0.5956 0.0000 0.7500
Tm6 Tm 0.5956 0.5956 0.2500
Hg1 Hg 0.3333 0.6667 0.0000
Hg2 Hg 0.3333 0.6667 0.5000
Hg3 Hg 0.6667 0.3333 0.0000
Hg4 Hg 0.6667 0.3333 0.5000
Pb1 Pb 0.0000 0.2287 0.7500
Pb2 Pb 0.0000 0.7713 0.2500
Pb3 Pb 0.2287 0.0000 0.7500
Pb4 Pb 0.2287 0.2287 0.2500
Pb5 Pb 0.7713 0.0000 0.2500
Pb6 Pb 0.7713 0.7713 0.7500
```

Most intense lines, 15° ≤ 2θ ≤ 90°, by angle:
2θ 28.15, rel. 15
2θ 30.47, rel. 18
2θ 30.58, rel. 34
2θ 33.76, rel. 100
2θ 34.70, rel. 60
2θ 34.80, rel. 24
2θ 49.96, rel. 15
2θ 53.50, rel. 28
2θ 55.68, rel. 13
2θ 67.37, rel. 22


Entry 4:
Diffraction record for Tm3Hg3Pb2. The powder diffraction line list is theoretical, not measured: it uses a crystal structure in Alexandria, relaxed with GGA-PBE and Cu Kα, 1.54184 Å.

Crystal structure
```
data_Tm3Hg3Pb2
_space_group_name_H-M_alt 'P 1'
_space_group_IT_number 1
_cell_length_a 6.0121
_cell_length_b 6.0121
_cell_length_c 6.0121
_cell_angle_alpha 89.98
_cell_angle_beta 89.98
_cell_angle_gamma 89.98
loop_
_space_group_symop_operation_xyz
'x,y,z'
loop_
_atom_site_label
_atom_site_type_symbol
_atom_site_fract_x
_atom_site_fract_y
_atom_site_fract_z
Tm1 Tm 0.0000 0.6627 0.3373
Tm2 Tm 0.3373 0.0000 0.6627
Tm3 Tm 0.6627 0.3373 0.0000
Hg1 Hg 0.2316 0.5000 0.7684
Hg2 Hg 0.5000 0.7684 0.2316
Hg3 Hg 0.7684 0.2316 0.5000
Pb1 Pb 0.1641 0.1641 0.1641
Pb2 Pb 0.8359 0.8359 0.8359
```

Most intense lines, 15° ≤ 2θ ≤ 90°, by angle:
2θ 25.66, rel. 21
2θ 33.32, rel. 100
2θ 36.62, rel. 68
2θ 50.34, rel. 19
2θ 55.08, rel. 12
2θ 63.84, rel. 22
2θ 65.91, rel. 29
2θ 71.98, rel. 11
2θ 81.67, rel. 11
2θ 87.33, rel. 15


Entry 5:
Diffraction record for Tm3Hg2Pb2. The powder diffraction line list is theoretical, not measured: it uses a crystal structure in Alexandria, relaxed with GGA-PBE and Cu Kα, 1.54184 Å.

Crystal structure
```
data_Tm3Hg2Pb2
_space_group_name_H-M_alt 'P 1'
_space_group_IT_number 1
_cell_length_a 4.6345
_cell_length_b 5.5460
_cell_length_c 8.8108
_cell_angle_alpha 94.59
_cell_angle_beta 105.10
_cell_angle_gamma 114.59
loop_
_space_group_symop_operation_xyz
'x,y,z'
loop_
_atom_site_label
_atom_site_type_symbol
_atom_site_fract_x
_atom_site_fract_y
_atom_site_fract_z
Tm1 Tm 0.0000 0.0000 0.0000
Tm2 Tm 0.4311 0.1557 0.7045
Tm3 Tm 0.5689 0.8443 0.2955
Hg1 Hg 0.3090 0.2537 0.3675
Hg2 Hg 0.6910 0.7463 0.6325
Pb1 Pb 0.2180 0.5779 0.8570
Pb2 Pb 0.7820 0.4221 0.1430
```

Most intense lines, 15° ≤ 2θ ≤ 90°, by angle:
2θ 21.38, rel. 28
2θ 27.83, rel. 61
2θ 32.92, rel. 100
2θ 33.55, rel. 72
2θ 34.54, rel. 77
2θ 35.92, rel. 57
2θ 36.04, rel. 56
2θ 38.86, rel. 65
2θ 40.37, rel. 48
2θ 52.26, rel. 44


Entry 6:
Diffraction record for Tm3Hg2Pb4. The powder diffraction line list is theoretical, not measured: it uses a crystal structure in Alexandria, relaxed with GGA-PBE and Cu Kα, 1.54184 Å.

Crystal structure
```
data_Tm3Hg2Pb4
_space_group_name_H-M_alt 'P 1'
_space_group_IT_number 1
_cell_length_a 9.3554
_cell_length_b 9.3554
_cell_length_c 5.8984
_cell_angle_alpha 93.98
_cell_angle_beta 93.98
_cell_angle_gamma 72.30
loop_
_space_group_symop_operation_xyz
'x,y,z'
loop_
_atom_site_label
_atom_site_type_symbol
_atom_site_fract_x
_atom_site_fract_y
_atom_site_fract_z
Tm1 Tm 0.1230 0.8770 0.7500
Tm2 Tm 0.1978 0.4421 0.9340
Tm3 Tm 0.4421 0.1978 0.4340
Tm4 Tm 0.5579 0.8022 0.5660
Tm5 Tm 0.8022 0.5579 0.0660
Tm6 Tm 0.8770 0.1230 0.2500
Hg1 Hg 0.0331 0.7619 0.1798
Hg2 Hg 0.2381 0.9669 0.3202
Hg3 Hg 0.7619 0.0331 0.6798
Hg4 Hg 0.9669 0.2381 0.8202
Pb1 Pb 0.0838 0.3401 0.3865
Pb2 Pb 0.3181 0.5624 0.4883
Pb3 Pb 0.3401 0.0838 0.8865
Pb4 Pb 0.4376 0.6819 0.0117
Pb5 Pb 0.5624 0.3181 0.9883
Pb6 Pb 0.6599 0.9162 0.1135
Pb7 Pb 0.6819 0.4376 0.5117
Pb8 Pb 0.9162 0.6599 0.6135
```

Most intense lines, 15° ≤ 2θ ≤ 90°, by angle:
2θ 31.58, rel. 60
2θ 32.45, rel. 55
2θ 33.26, rel. 46
2θ 33.55, rel. 100
2θ 39.30, rel. 33
2θ 40.70, rel. 24
2θ 52.23, rel. 15
2θ 52.98, rel. 13
2θ 58.59, rel. 20
2θ 59.74, rel. 12